[1]
FeMo2S4: computed powder diffractogram (a wavelength of 1.5418 Å), based on the GGA-PBE geometry in the Materials Project.
No peak broadening, texture or thermal motion is included.

```
data_FeMo2S4
_chemical_formula_sum 'Fe4 Mo8 S16'
_space_group_name_H-M_alt 'P 1'
_space_group_IT_number 1
_space_group_name_Hall 'P 1'
_cell_length_a 6.422
_cell_length_b 6.757
_cell_length_c 11.964
_cell_angle_alpha 80.43
_cell_angle_beta 74.43
_cell_angle_gamma 61.62
loop_
_atom_site_label
_atom_site_fract_x
_atom_site_fract_y
_atom_site_fract_z
Fe1 0.000 0.000 0.000
Fe2 0.244 0.500 0.500
Fe3 0.497 0.006 0.000
Fe4 0.741 0.506 0.500
Mo1 0.098 0.570 0.760
Mo2 0.167 0.958 0.740
Mo3 0.337 0.063 0.259
Mo4 0.379 0.458 0.240
Mo5 0.573 0.548 0.760
Mo6 0.642 0.935 0.740
Mo7 0.815 0.070 0.260
Mo8 0.905 0.452 0.239
S1 0.011 0.352 0.637
S2 0.025 0.828 0.604
S3 0.213 0.687 0.900
S4 0.232 0.157 0.866
S5 0.243 0.852 0.137
S6 0.275 0.334 0.098
S7 0.443 0.187 0.400
S8 0.476 0.668 0.361
S9 0.509 0.348 0.635
S10 0.527 0.818 0.600
S11 0.716 0.678 0.896
S12 0.729 0.153 0.863
S13 0.751 0.848 0.135
S14 0.764 0.345 0.104
S15 0.954 0.178 0.396
S16 0.968 0.674 0.364
```

Largest 10 diffraction maxima, in order of rising 2θ, 10° ≤ 2θ ≤ 90°:
- d 5.757, I 100
- d 5.182, I 61
- d 2.825, I 66
- d 2.591, I 43
- d 2.558, I 85
- d 2.115, I 34
- d 2.038, I 57
- d 1.994, I 82
- d 1.923, I 34
- d 1.605, I 40



[2]
FeMo3S4: computed powder diffractogram (a wavelength of 1.5418 Å), based on the GGA-PBE geometry in the Materials Project.
No peak broadening, texture or thermal motion is included.

```
data_FeMo3S4
_chemical_formula_sum 'Fe2 Mo6 S8'
_space_group_name_H-M_alt 'P 1'
_space_group_IT_number 1
_space_group_name_Hall 'P 1'
_cell_length_a 6.491
_cell_length_b 6.514
_cell_length_c 6.528
_cell_angle_alpha 97.39
_cell_angle_beta 91.30
_cell_angle_gamma 95.92
loop_
_atom_site_label
_atom_site_fract_x
_atom_site_fract_y
_atom_site_fract_z
Fe1 0.003 0.352 0.095
Fe2 0.997 0.648 0.905
Mo1 0.221 0.910 0.550
Mo2 0.416 0.037 0.223
Mo3 0.457 0.282 0.598
Mo4 0.543 0.718 0.402
Mo5 0.584 0.963 0.777
Mo6 0.779 0.090 0.450
S1 0.144 0.223 0.385
S2 0.204 0.687 0.214
S3 0.264 0.140 0.879
S4 0.358 0.640 0.731
S5 0.642 0.360 0.269
S6 0.736 0.860 0.121
S7 0.796 0.313 0.786
S8 0.856 0.777 0.615
```

Largest 10 diffraction maxima, in order of rising 2θ, 10° ≤ 2θ ≤ 90°:
- d 6.462, I 100
- d 6.423, I 66
- d 3.422, I 35
- d 2.762, I 27
- d 2.665, I 33
- d 2.176, I 40
- d 2.023, I 49
- d 2.017, I 27
- d 1.932, I 59
- d 1.830, I 27



[3]
SmFe10Mo2: computed powder diffractogram (a wavelength of 1.5418 Å), based on the GGA-PBE geometry in the Materials Project.
No peak broadening, texture or thermal motion is included.

```
data_SmFe10Mo2
_chemical_formula_sum 'Sm1 Fe10 Mo2'
_space_group_name_H-M_alt 'P 1'
_space_group_IT_number 1
_space_group_name_Hall 'P 1'
_cell_length_a 6.532
_cell_length_b 6.532
_cell_length_c 6.532
_cell_angle_alpha 137.21
_cell_angle_beta 98.12
_cell_angle_gamma 97.18
loop_
_atom_site_label
_atom_site_fract_x
_atom_site_fract_y
_atom_site_fract_z
Sm1 0.000 0.000 0.000
Fe1 0.000 0.000 0.500
Fe2 0.000 0.500 0.000
Fe3 0.221 0.500 0.721
Fe4 0.228 0.728 0.500
Fe5 0.358 0.000 0.358
Fe6 0.500 0.000 0.000
Fe7 0.500 0.500 0.500
Fe8 0.642 0.000 0.642
Fe9 0.772 0.272 0.500
Fe10 0.779 0.500 0.279
Mo1 0.359 0.359 0.000
Mo2 0.641 0.641 0.000
```

Largest 10 diffraction maxima, in order of rising 2θ, 10° ≤ 2θ ≤ 90°:
- d 2.465, I 32
- d 2.448, I 36
- d 2.383, I 23
- d 2.160, I 23
- d 2.138, I 100
- d 2.130, I 47
- d 2.087, I 32
- d 2.082, I 45
- d 1.876, I 27
- d 1.322, I 22